(1)
For DyMnNbGe2, a DFT-relaxed cell (GGA-PBE, Alexandria) gives the computed powder X-ray diffraction pattern in this record (Cu Ka).
Neutral-atom scattering factors, no anomalous dispersion.

Atomic structure:
```
5
Lattice="-1.9945 1.9945 5.8479 1.9945 -1.9945 5.8479 1.9945 1.9945 -5.8479" Properties=species:S:1:pos:R:3 pbc="T T T"
Dy 0.0000 0.0000 0.0000
Mn 0.0000 1.9945 2.9239
Nb 1.9945 0.0000 2.9239
Ge 0.0000 0.0000 4.5827
Ge 0.0000 0.0000 7.1131
```

Peak list (6 most intense, 2θ from 10° to 80°, in order of rising 2θ)
Position (°2θ), I/Imax
32.10, 59
35.33, 100
44.92, 41
45.48, 44
56.75, 23
65.84, 26

***

(2)
For Dy8Ge3Te4N, a DFT-relaxed cell (GGA-PBE, Alexandria) gives the computed powder X-ray diffraction pattern in this record (Cu Ka).
Neutral-atom scattering factors, no anomalous dispersion.

Atomic structure:
```
16
Lattice="7.1463 -4.1242 0.0000 7.1463 4.1242 0.0000 -4.7650 0.0000 7.0574" Properties=species:S:1:pos:R:3 pbc="T T T"
Dy 3.6490 2.1950 4.9764
Dy -0.1362 0.0000 4.9887
Dy 5.8786 2.1950 2.0811
Dy 2.3823 0.0000 1.9518
Dy 7.1453 0.0000 5.1056
Dy 3.6490 -2.1950 4.9764
Dy 9.6638 0.0000 2.0688
Dy 5.8786 -2.1950 2.0811
Ge 1.1907 2.0621 3.5287
Ge 1.1907 -2.0621 3.5287
Ge 4.7638 0.0000 3.5287
Te 0.0000 0.0000 0.0000
Te 3.5732 2.0621 0.0000
Te 3.5732 -2.0621 0.0000
Te 7.1463 0.0000 0.0000
N -2.3825 0.0000 3.5287
```

Peak list (6 most intense, 2θ from 10° to 80°, in order of rising 2θ)
Position (°2θ), I/Imax
30.18, 100
42.51, 31
43.90, 37
54.19, 21
62.73, 16
72.20, 16